Simulated powder XRD pattern
Compound: CdH8C2S2N4Cl2
Radiation: Cu Kα
Structure: DFT lattice parameters and positions (GGA-PBE)

The 10 most intense peaks (2θ = 10–80°), sorted by position:
Position (°2θ), intensity
13.40, 23
13.95, 100
15.92, 59
18.96, 54
23.29, 21
24.59, 67
32.16, 23
37.85, 26
40.93, 23
42.52, 22

```
data_CdH8C2S2N4Cl2
_chemical_formula_sum 'Cd2 H16 C4 S4 N8 Cl4'
_cell_length_a 13.218
_cell_length_b 6.137
_cell_length_c 7.239
_cell_angle_alpha 90.00
_cell_angle_beta 90.00
_cell_angle_gamma 90.00
_space_group_name_H-M_alt 'P m n 21'
_space_group_IT_number 31
loop_
_space_group_symop_operation_xyz
'x,y,z'
'-x+1/2,-y,z+1/2'
'-x,y,z'
'x+1/2,-y,z+1/2'
loop_
_atom_site_label
_atom_site_type_symbol
_atom_site_fract_x
_atom_site_fract_y
_atom_site_fract_z
_atom_site_occupancy
Cd1 Cd 0.000 0.221 0.000 1
H1 H 0.090 0.886 0.576 1
H2 H 0.126 0.611 0.584 1
H3 H 0.163 0.900 0.085 1
H4 H 0.207 0.152 0.563 1
C1 C 0.243 0.831 0.585 1
S1 S 0.168 0.372 0.113 1
N1 N 0.145 0.771 0.576 1
N2 N 0.236 0.958 0.074 1
Cl1 Cl 0.000 0.242 0.642 1
Cl2 Cl 0.000 0.817 0.082 1
```

***

Simulated powder XRD pattern
Compound: Cs2CdFeC6N6
Radiation: Cu Kα
Structure: DFT lattice parameters and positions (GGA-PBE)

The 10 most intense peaks (2θ = 10–80°), sorted by position:
Position (°2θ), intensity
23.32, 100
28.66, 10
33.21, 36
40.98, 38
47.68, 21
53.73, 25
59.34, 6
64.64, 24
74.63, 11
79.44, 8

```
data_Cs2CdFeC6N6
_chemical_formula_sum 'Cs8 Cd4 Fe4 C24 N24'
_cell_length_a 10.791
_cell_length_b 10.791
_cell_length_c 10.791
_cell_angle_alpha 90.00
_cell_angle_beta 90.00
_cell_angle_gamma 90.00
_space_group_name_H-M_alt 'F m -3 m'
_space_group_IT_number 225
_space_group_name_Hall '-F 4 2 3'
loop_
_atom_site_label
_atom_site_type_symbol
_atom_site_fract_x
_atom_site_fract_y
_atom_site_fract_z
_atom_site_occupancy
Cs1 Cs 0.250 0.250 0.250 1
Cd1 Cd 0.000 0.000 0.000 1
Fe1 Fe 0.000 0.000 0.500 1
C1 C 0.000 0.000 0.326 1
N1 N 0.000 0.000 0.216 1
```